1.
Computed X-ray powder pattern of CuSeO4 for λ = 1.5418 Å (Cu Kα), from a PBE-relaxed structure.
Peak positions follow from Bragg's law for the DFT cell and can differ from measured ones.

```
data_CuSeO4
_symmetry_space_group_name_H-M 'P n m a'
_symmetry_Int_Tables_number 62
_cell_length_a 8.9402
_cell_length_b 6.8444
_cell_length_c 5.0695
_cell_angle_alpha 90.00
_cell_angle_beta 90.00
_cell_angle_gamma 90.00
loop_
_symmetry_equiv_pos_as_xyz
'x,y,z'
'-x,-y,-z'
'-x+1/2,-y,z+1/2'
'x+1/2,y,-z+1/2'
'x+1/2,-y+1/2,-z+1/2'
'-x+1/2,y+1/2,z+1/2'
'-x,y+1/2,-z'
'x,-y+1/2,z'
loop_
_atom_site_label
_atom_site_fract_x
_atom_site_fract_y
_atom_site_fract_z
Cu1 0.0000 0.0000 0.0000
Se1 0.1816 0.2500 0.4566
O1 0.1235 0.7500 0.9289
O2 0.1265 0.2500 0.7687
O3 0.1266 0.0435 0.3072
```

Top 10 peaks for 2θ = 10–90°, by angle:
hkl 1 0 1, 20.14°, I 19.3; hkl 2 1 0, 23.77°, I 37.4; hkl 1 1 1, 24.01°, I 100.0; hkl 2 2 0, 32.96°, I 47.5; hkl 1 2 1, 33.14°, I 43.1; hkl 3 0 1, 34.92°, I 54.3; hkl 0 0 2, 35.41°, I 15.2; hkl 2 2 2, 49.15°, I 26.3; hkl 5 2 1, 61.28°, I 22.6; hkl 3 4 1, 65.55°, I 15.5


2.
Computed X-ray powder pattern of LiGaO2 for λ = 1.5418 Å (Cu Kα), from a PBE-relaxed structure.
Peak positions follow from Bragg's law for the DFT cell and can differ from measured ones.

```
data_LiGaO2
_symmetry_space_group_name_H-M 'P 4/m m m'
_symmetry_Int_Tables_number 123
_symmetry_space_group_name_Hall '-P 4 2'
_cell_length_a 3.0025
_cell_length_b 3.0025
_cell_length_c 3.8612
_cell_angle_alpha 90.00
_cell_angle_beta 90.00
_cell_angle_gamma 90.00
loop_
_atom_site_label
_atom_site_fract_x
_atom_site_fract_y
_atom_site_fract_z
Li1 0.0000 0.0000 0.0000
Ga1 0.5000 0.5000 0.5000
O1 0.0000 0.0000 0.5000
O2 0.5000 0.5000 0.0000
```

Top 10 peaks for 2θ = 10–90°, by angle:
hkl 0 0 1, 23.03°, I 94.7; hkl 1 0 0, 29.76°, I 100.0; hkl 1 0 1, 37.96°, I 47.0; hkl 1 1 0, 42.58°, I 96.4; hkl 0 0 2, 47.07°, I 35.0; hkl 1 1 1, 48.96°, I 49.1; hkl 1 0 2, 56.69°, I 31.1; hkl 2 0 0, 61.80°, I 28.2; hkl 1 1 2, 65.33°, I 46.8; hkl 2 0 2, 81.16°, I 23.6


3.
Computed X-ray powder pattern of RbMg6Cu for λ = 1.5418 Å (Cu Kα), from a PBE-relaxed structure.
Peak positions follow from Bragg's law for the DFT cell and can differ from measured ones.

```
data_RbMg6Cu
_symmetry_space_group_name_H-M 'A m m 2'
_symmetry_Int_Tables_number 38
_cell_length_a 5.2629
_cell_length_b 6.5258
_cell_length_c 11.7405
_cell_angle_alpha 90.00
_cell_angle_beta 90.00
_cell_angle_gamma 90.00
loop_
_symmetry_equiv_pos_as_xyz
'x,y,z'
'-x,-y,z'
'-x,y,z'
'x,-y,z'
'x,y+1/2,z+1/2'
'-x,-y+1/2,z+1/2'
'-x,y+1/2,z+1/2'
'x,-y+1/2,z+1/2'
loop_
_atom_site_label
_atom_site_fract_x
_atom_site_fract_y
_atom_site_fract_z
Rb1 0.0000 0.0000 0.0000
Mg1 0.0000 0.2454 0.2504
Mg2 0.5000 0.0000 0.1787
Mg3 0.5000 0.0000 0.6590
Mg4 0.5000 0.2255 0.4143
Cu1 0.0000 0.0000 0.4935
```

Top 10 peaks for 2θ = 10–90°, by angle:
hkl 0 0 2, 15.09°, I 27.9; hkl 1 0 0, 16.85°, I 23.0; hkl 1 0 2, 22.69°, I 24.5; hkl 0 2 2, 31.37°, I 30.2; hkl 2 0 0, 34.07°, I 37.1; hkl 1 0 4, 35.00°, I 51.6; hkl 1 2 2, 35.81°, I 100.0; hkl 2 2 2, 46.98°, I 18.9; hkl 0 2 6, 54.68°, I 23.9; hkl 2 2 6, 66.05°, I 26.6